[1]
Theoretical powder diffractogram
Compound: Nd7HgGe5
Radiation: Cu Ka
Structure: a crystal structure in Alexandria, relaxed with PBE

Peak list (10 most intense, 2θ from 10° to 80°, by angle)
- 2θ 27.84, d 3.205, I 100, (1 3 0)
- 2θ 28.46, d 3.136, I 68, (2 0 0)
- 2θ 29.91, d 2.988, I 82, (1 0 3)
- 2θ 32.74, d 2.735, I 37, (2 2 0)
- 2θ 33.02, d 2.713, I 89, (1 3 2)
- 2θ 35.21, d 2.549, I 38, (0 0 4)
- 2θ 35.75, d 2.511, I 35, (0 3 3)
- 2θ 37.31, d 2.410, I 80, (2 2 2)
- 2θ 57.52, d 1.602, I 40, (2 6 0)
- 2θ 69.25, d 1.357, I 34, (0 3 7)

Structural model:
```
data_Nd7HgGe5
_chemical_formula_sum 'Nd14 Hg2 Ge10'
_cell_length_a 6.2719
_cell_length_b 11.1843
_cell_length_c 10.1945
_cell_angle_alpha 90.00
_cell_angle_beta 90.00
_cell_angle_gamma 90.00
_symmetry_space_group_name_H-M 'I m m 2'
_symmetry_Int_Tables_number 44
_symmetry_space_group_name_Hall 'I 2 -2'
loop_
_atom_site_label
_atom_site_type_symbol
_atom_site_fract_x
_atom_site_fract_y
_atom_site_fract_z
Nd1 Nd 0.0000 0.0000 0.0000
Nd2 Nd 0.0000 0.0000 0.3847
Nd3 Nd 0.0000 0.3184 0.6803
Nd4 Nd 0.0000 0.3316 0.1190
Nd5 Nd 0.0000 0.5000 0.3664
Hg1 Hg 0.0000 0.0000 0.6911
Ge1 Ge 0.0000 0.5000 0.8904
Ge2 Ge 0.2113 0.2615 0.4081
```

=====

[2]
Theoretical powder diffractogram
Compound: LiAl2H4Pb2O4F6
Radiation: Cu Ka
Structure: a crystal structure in Alexandria, relaxed with PBE

Peak list (10 most intense, 2θ from 10° to 80°, by angle)
- 2θ 16.82, d 5.271, I 45, (0 1 -1)
- 2θ 17.72, d 5.005, I 60, (1 0 -1)
- 2θ 19.03, d 4.664, I 100, (1 -1 0)
- 2θ 23.95, d 3.716, I 30, (0 1 1)
- 2θ 24.36, d 3.653, I 55, (1 0 1)
- 2θ 26.47, d 3.368, I 45, (1 1 0)
- 2θ 26.61, d 3.349, I 46, (0 0 2)
- 2θ 33.05, d 2.710, I 40, (-2 1 1)
- 2θ 38.56, d 2.335, I 45, (1 0 -3)
- 2θ 38.87, d 2.317, I 32, (1 2 -2)

Structural model:
```
data_LiAl2H4Pb2O4F6
_chemical_formula_sum 'Li1 Al2 H4 Pb2 O4 F6'
_cell_length_a 5.7747
_cell_length_b 6.1233
_cell_length_c 7.3237
_cell_angle_alpha 105.63
_cell_angle_beta 103.31
_cell_angle_gamma 103.48
_symmetry_space_group_name_H-M 'P 1'
_symmetry_Int_Tables_number 1
_symmetry_space_group_name_Hall 'P 1'
loop_
_atom_site_label
_atom_site_type_symbol
_atom_site_fract_x
_atom_site_fract_y
_atom_site_fract_z
Li1 Li 0.0000 0.0000 0.0000
Al1 Al 0.1654 0.6536 0.3029
Al2 Al 0.4578 0.9955 0.7179
H1 H 0.0225 0.8503 0.6711
H2 H 0.1507 0.0690 0.4418
H3 H 0.5153 0.5961 0.5379
H4 H 0.5748 0.6286 0.2275
Pb1 Pb 0.1910 0.5093 0.8350
Pb2 Pb 0.6655 0.1291 0.3014
O1 O 0.1651 0.8997 0.7927
O2 O 0.2772 0.9868 0.4623
O3 O 0.3720 0.6496 0.5511
O4 O 0.4414 0.6993 0.1934
F1 F 0.0018 0.7244 0.0907
F2 F 0.0756 0.3351 0.1580
F3 F 0.5095 0.3081 0.8439
F4 F 0.6343 0.9349 0.9318
F5 F 0.7493 0.0745 0.6580
F6 F 0.8867 0.6006 0.3853
```

=====

[3]
Theoretical powder diffractogram
Compound: Na8B13C3
Radiation: Cu Ka
Structure: a crystal structure in Alexandria, relaxed with PBE

Peak list (10 most intense, 2θ from 10° to 80°, by angle)
- 2θ 33.66, d 2.662, I 14, (0 0 4)
- 2θ 36.24, d 2.479, I 17, (1 0 2)
- 2θ 39.72, d 2.269, I 50, (0 2 4)
- 2θ 41.62, d 2.170, I 38, (0 4 0)
- 2θ 41.98, d 2.152, I 100, (1 2 2)
- 2θ 56.35, d 1.633, I 10, (1 4 2)
- 2θ 61.89, d 1.499, I 18, (1 0 6)
- 2θ 66.81, d 1.400, I 7, (2 0 0)
- 2θ 76.20, d 1.249, I 13, (1 6 2)
- 2θ 77.36, d 1.233, I 17, (1 4 6)

Structural model:
```
data_Na8B13C3
_chemical_formula_sum 'Na8 B13 C3'
_cell_length_a 2.8005
_cell_length_b 8.6801
_cell_length_c 10.6500
_cell_angle_alpha 90.00
_cell_angle_beta 90.00
_cell_angle_gamma 90.00
_symmetry_space_group_name_H-M 'P m m 2'
_symmetry_Int_Tables_number 25
_symmetry_space_group_name_Hall 'P 2 -2'
loop_
_atom_site_label
_atom_site_type_symbol
_atom_site_fract_x
_atom_site_fract_y
_atom_site_fract_z
Na1 Na 0.0000 0.2460 0.0000
Na2 Na 0.0000 0.2524 0.4942
Na3 Na 0.5000 0.2488 0.7471
Na4 Na 0.5000 0.2495 0.2481
B1 B 0.0000 0.0000 0.1798
B2 B 0.0000 0.0000 0.3413
B3 B 0.0000 0.0000 0.6625
B4 B 0.0000 0.0000 0.8218
B5 B 0.0000 0.5000 0.1664
B6 B 0.0000 0.5000 0.6707
B7 B 0.0000 0.5000 0.8345
B8 B 0.5000 0.0000 0.0791
B9 B 0.5000 0.0000 0.5619
B10 B 0.5000 0.0000 0.9198
B11 B 0.5000 0.5000 0.3960
B12 B 0.5000 0.5000 0.5624
B13 B 0.5000 0.5000 0.9415
C1 C 0.0000 0.5000 0.3192
C2 C 0.5000 0.0000 0.4159
C3 C 0.5000 0.5000 0.0882
```

=====

[4]
Theoretical powder diffractogram
Compound: Cs2AlS8
Radiation: Cu Ka
Structure: a crystal structure in Alexandria, relaxed with PBE

Peak list (10 most intense, 2θ from 10° to 80°, by angle)
- 2θ 17.77, d 4.992, I 56, (1 0 1)
- 2θ 24.00, d 3.708, I 33, (-1 1 1)
- 2θ 24.30, d 3.662, I 100, (1 2 1)
- 2θ 24.53, d 3.629, I 43, (0 1 2)
- 2θ 25.93, d 3.436, I 61, (0 0 2)
- 2θ 28.39, d 3.143, I 46, (0 2 0)
- 2θ 28.93, d 3.086, I 52, (2 0 1)
- 2θ 29.20, d 3.058, I 37, (2 2 1)
- 2θ 31.13, d 2.873, I 58, (2 0 -1)
- 2θ 41.38, d 2.182, I 41, (3 2 0)

Structural model:
```
data_Cs2AlS8
_chemical_formula_sum 'Cs2 Al1 S8'
_cell_length_a 7.2342
_cell_length_b 7.3838
_cell_length_c 7.6254
_cell_angle_alpha 64.77
_cell_angle_beta 75.71
_cell_angle_gamma 66.34
_symmetry_space_group_name_H-M 'P -1'
_symmetry_Int_Tables_number 2
_symmetry_space_group_name_Hall '-P 1'
loop_
_atom_site_label
_atom_site_type_symbol
_atom_site_fract_x
_atom_site_fract_y
_atom_site_fract_z
Cs1 Cs 0.1660 0.0131 0.2248
Al1 Al 0.5000 0.5000 0.0000
S1 S 0.1454 0.5499 0.1574
S2 S 0.1568 0.4549 0.4500
S3 S 0.3496 0.6629 0.7108
S4 S 0.3880 0.8670 0.8191
```

=====

[5]
Theoretical powder diffractogram
Compound: Th2InCoAg
Radiation: Cu Ka
Structure: a crystal structure in Alexandria, relaxed with PBE

Peak list (10 most intense, 2θ from 10° to 80°, by angle)
- 2θ 26.56, d 3.356, I 37, (2 0 -2)
- 2θ 29.10, d 3.069, I 58, (1 0 2)
- 2θ 30.14, d 2.965, I 79, (1 1 1)
- 2θ 32.18, d 2.782, I 41, (1 1 -2)
- 2θ 32.35, d 2.767, I 100, (2 1 -1)
- 2θ 32.53, d 2.752, I 41, (1 0 -3)
- 2θ 35.13, d 2.554, I 75, (3 0 0)
- 2θ 35.63, d 2.520, I 37, (2 1 -2)
- 2θ 37.62, d 2.391, I 42, (1 1 2)
- 2θ 47.68, d 1.907, I 41, (0 2 0)

Structural model:
```
data_Th2InCoAg
_chemical_formula_sum 'Th4 In2 Co2 Ag2'
_cell_length_a 8.1476
_cell_length_b 3.8149
_cell_length_c 8.2570
_cell_angle_alpha 90.00
_cell_angle_beta 109.85
_cell_angle_gamma 90.00
_symmetry_space_group_name_H-M 'P 1 21/m 1'
_symmetry_Int_Tables_number 11
_symmetry_space_group_name_Hall '-P 2yb'
loop_
_atom_site_label
_atom_site_type_symbol
_atom_site_fract_x
_atom_site_fract_y
_atom_site_fract_z
Th1 Th 0.9998 0.2500 0.2124
Th2 Th 0.3288 0.7500 0.5867
In1 In 0.3270 0.7500 0.1799
Co1 Co 0.0961 0.2500 0.6016
Ag1 Ag 0.3511 0.2500 0.9233
```

=====

[6]
Theoretical powder diffractogram
Compound: MgTa2S5
Radiation: Cu Ka
Structure: a crystal structure in Alexandria, relaxed with PBE

Peak list (10 most intense, 2θ from 10° to 80°, by angle)
- 2θ 13.00, d 6.809, I 100, (0 0 2)
- 2θ 13.10, d 6.756, I 32, (0 2 0)
- 2θ 18.50, d 4.796, I 16, (0 2 2)
- 2θ 28.82, d 3.097, I 26, (1 3 1)
- 2θ 34.46, d 2.602, I 30, (1 3 3)
- 2θ 40.26, d 2.240, I 9, (2 0 0)
- 2θ 42.49, d 2.128, I 14, (2 0 2)
- 2θ 43.79, d 2.068, I 21, (1 3 5)
- 2θ 43.92, d 2.062, I 13, (1 5 3)
- 2θ 51.85, d 1.763, I 9, (1 5 5)

Structural model:
```
data_MgTa2S5
_chemical_formula_sum 'Mg4 Ta8 S20'
_cell_length_a 4.4804
_cell_length_b 13.5117
_cell_length_c 13.6172
_cell_angle_alpha 90.00
_cell_angle_beta 90.00
_cell_angle_gamma 90.00
_symmetry_space_group_name_H-M 'F m m m'
_symmetry_Int_Tables_number 69
_symmetry_space_group_name_Hall '-F 2 2'
loop_
_atom_site_label
_atom_site_type_symbol
_atom_site_fract_x
_atom_site_fract_y
_atom_site_fract_z
Mg1 Mg 0.0000 0.0000 0.0000
Ta1 Ta 0.0000 0.1832 0.5000
S1 S 0.0000 0.0000 0.5000
S2 S 0.0000 0.1733 0.1103
```

=====

[7]
Theoretical powder diffractogram
Compound: BaAlH5
Radiation: Cu Ka
Structure: a crystal structure in Alexandria, relaxed with PBE

Peak list (10 most intense, 2θ from 10° to 80°, by angle)
- 2θ 20.04, d 4.430, I 90, (0 1 1)
- 2θ 24.03, d 3.704, I 73, (0 0 2)
- 2θ 25.71, d 3.464, I 51, (1 0 1)
- 2θ 27.91, d 3.197, I 100, (1 1 0)
- 2θ 32.40, d 2.764, I 32, (0 2 0)
- 2θ 37.15, d 2.420, I 91, (1 1 2)
- 2θ 40.74, d 2.215, I 37, (0 2 2)
- 2θ 41.81, d 2.160, I 31, (1 2 1)
- 2θ 55.09, d 1.667, I 27, (1 3 0)
- 2θ 57.51, d 1.603, I 25, (1 1 4)

Structural model:
```
data_BaAlH5
_chemical_formula_sum 'Ba2 Al2 H10'
_cell_length_a 3.9196
_cell_length_b 5.5273
_cell_length_c 7.4077
_cell_angle_alpha 90.00
_cell_angle_beta 90.00
_cell_angle_gamma 90.00
_symmetry_space_group_name_H-M 'I m m m'
_symmetry_Int_Tables_number 71
_symmetry_space_group_name_Hall '-I 2 2'
loop_
_atom_site_label
_atom_site_type_symbol
_atom_site_fract_x
_atom_site_fract_y
_atom_site_fract_z
Ba1 Ba 0.0000 0.0000 0.0000
Al1 Al 0.0000 0.0000 0.5000
H1 H 0.0000 0.2249 0.3430
H2 H 0.0000 0.5000 0.0000
```

=====

[8]
Theoretical powder diffractogram
Compound: ZnTc3N
Radiation: Cu Ka
Structure: a crystal structure in Alexandria, relaxed with PBE

Peak list (10 most intense, 2θ from 10° to 80°, by angle)
- 2θ 36.98, d 2.431, I 15, (0 4 1)
- 2θ 37.20, d 2.417, I 14, (0 0 2)
- 2θ 37.94, d 2.372, I 35, (4 0 0)
- 2θ 41.75, d 2.163, I 100, (2 4 1)
- 2θ 41.95, d 2.154, I 39, (2 0 -2)
- 2θ 54.01, d 1.698, I 13, (4 4 -1)
- 2θ 54.19, d 1.692, I 11, (4 0 2)
- 2θ 66.92, d 1.398, I 15, (0 4 3)
- 2θ 71.13, d 1.325, I 15, (6 4 1)
- 2θ 79.59, d 1.205, I 14, (4 4 -3)

Structural model:
```
data_ZnTc3N
_chemical_formula_sum 'Zn8 Tc24 N8'
_cell_length_a 9.4865
_cell_length_b 11.2508
_cell_length_c 4.8341
_cell_angle_alpha 90.00
_cell_angle_beta 90.05
_cell_angle_gamma 90.00
_symmetry_space_group_name_H-M 'C 1 2/c 1'
_symmetry_Int_Tables_number 15
_symmetry_space_group_name_Hall '-C 2yc'
loop_
_atom_site_label
_atom_site_type_symbol
_atom_site_fract_x
_atom_site_fract_y
_atom_site_fract_z
Zn1 Zn 0.1180 0.0622 0.4253
Tc1 Tc 0.1247 0.1913 0.9300
Tc2 Tc 0.1324 0.3045 0.4139
Tc3 Tc 0.1501 0.4356 0.9361
N1 N 0.0000 0.3264 0.7500
N2 N 0.0000 0.4339 0.2500
```

=====

Repeat the third record exactly.
Theoretical powder diffractogram
Compound: Na8B13C3
Radiation: Cu Ka
Structure: a crystal structure in Alexandria, relaxed with PBE

Peak list (10 most intense, 2θ from 10° to 80°, by angle)
- 2θ 33.66, d 2.662, I 14, (0 0 4)
- 2θ 36.24, d 2.479, I 17, (1 0 2)
- 2θ 39.72, d 2.269, I 50, (0 2 4)
- 2θ 41.62, d 2.170, I 38, (0 4 0)
- 2θ 41.98, d 2.152, I 100, (1 2 2)
- 2θ 56.35, d 1.633, I 10, (1 4 2)
- 2θ 61.89, d 1.499, I 18, (1 0 6)
- 2θ 66.81, d 1.400, I 7, (2 0 0)
- 2θ 76.20, d 1.249, I 13, (1 6 2)
- 2θ 77.36, d 1.233, I 17, (1 4 6)

Structural model:
```
data_Na8B13C3
_chemical_formula_sum 'Na8 B13 C3'
_cell_length_a 2.8005
_cell_length_b 8.6801
_cell_length_c 10.6500
_cell_angle_alpha 90.00
_cell_angle_beta 90.00
_cell_angle_gamma 90.00
_symmetry_space_group_name_H-M 'P m m 2'
_symmetry_Int_Tables_number 25
_symmetry_space_group_name_Hall 'P 2 -2'
loop_
_atom_site_label
_atom_site_type_symbol
_atom_site_fract_x
_atom_site_fract_y
_atom_site_fract_z
Na1 Na 0.0000 0.2460 0.0000
Na2 Na 0.0000 0.2524 0.4942
Na3 Na 0.5000 0.2488 0.7471
Na4 Na 0.5000 0.2495 0.2481
B1 B 0.0000 0.0000 0.1798
B2 B 0.0000 0.0000 0.3413
B3 B 0.0000 0.0000 0.6625
B4 B 0.0000 0.0000 0.8218
B5 B 0.0000 0.5000 0.1664
B6 B 0.0000 0.5000 0.6707
B7 B 0.0000 0.5000 0.8345
B8 B 0.5000 0.0000 0.0791
B9 B 0.5000 0.0000 0.5619
B10 B 0.5000 0.0000 0.9198
B11 B 0.5000 0.5000 0.3960
B12 B 0.5000 0.5000 0.5624
B13 B 0.5000 0.5000 0.9415
C1 C 0.0000 0.5000 0.3192
C2 C 0.5000 0.0000 0.4159
C3 C 0.5000 0.5000 0.0882
```